[1]
This entry pairs a crystal structure of Tb8Ag2Rh with its simulated powder XRD pattern. Radiation: CuKα. Structure: a DFT-relaxed cell (PBE, Alexandria).

Peak list (12 most intense, 10° ≤ 2θ ≤ 80°, sorted by position)
(3 1 1), 2θ = 29.3°, d 3.046, intensity 61.7
(1 1 -2), 2θ = 31.3°, d 2.855, intensity 100.0
(5 1 0), 2θ = 31.7°, d 2.823, intensity 50.4
(2 0 2), 2θ = 32.1°, d 2.790, intensity 21.9
(3 1 -2), 2θ = 32.3°, d 2.770, intensity 27.4
(1 1 2), 2θ = 34.0°, d 2.636, intensity 53.7
(0 2 0), 2θ = 34.3°, d 2.617, intensity 76.2
(5 1 -2), 2θ = 36.6°, d 2.453, intensity 28.9
(7 1 -1), 2θ = 40.1°, d 2.250, intensity 14.7
(2 2 2), 2θ = 47.6°, d 1.909, intensity 14.4
(1 3 -2), 2θ = 59.5°, d 1.553, intensity 16.3
(7 1 3), 2θ = 68.4°, d 1.372, intensity 15.1

Crystal structure
```
data_Tb8Ag2Rh
_cell_length_a 17.5043
_cell_length_b 5.2338
_cell_length_c 6.8369
_cell_angle_alpha 90.00
_cell_angle_beta 106.78
_cell_angle_gamma 90.00
_symmetry_space_group_name_H-M 'C 1 2/m 1'
_symmetry_Int_Tables_number 12
loop_
_symmetry_equiv_pos_as_xyz
'x,y,z'
'-x,-y,-z'
'-x,y,-z'
'x,-y,z'
'x+1/2,y+1/2,z'
'-x+1/2,-y+1/2,-z'
'-x+1/2,y+1/2,-z'
'x+1/2,-y+1/2,z'
loop_
_atom_site_label
_atom_site_fract_x
_atom_site_fract_y
_atom_site_fract_z
_atom_site_occupancy
Tb1 0.0272 0.0000 0.2876 1
Tb2 0.0895 0.5000 0.9356 1
Tb3 0.1591 0.5000 0.4713 1
Tb4 0.2001 0.0000 0.8110 1
Ag1 0.1847 0.0000 0.2216 1
Rh1 0.0000 0.5000 0.5000 1
```

[2]
This entry pairs a crystal structure of InAg with its simulated powder XRD pattern. Radiation: CuKα. Structure: a DFT-relaxed cell (PBE, Alexandria).

Peak list (12 most intense, 10° ≤ 2θ ≤ 80°, sorted by position)
(1 1 1), 2θ = 28.3°, d 3.158, intensity 15.0
(1 0 2), 2θ = 33.3°, d 2.694, intensity 33.3
(2 1 0), 2θ = 35.1°, d 2.554, intensity 58.9
(2 1 1), 2θ = 38.3°, d 2.350, intensity 29.9
(0 2 0), 2θ = 38.4°, d 2.341, intensity 42.0
(1 1 2), 2θ = 38.6°, d 2.335, intensity 100.0
(3 0 1), 2θ = 47.2°, d 1.924, intensity 12.5
(1 2 2), 2θ = 51.7°, d 1.767, intensity 18.3
(3 2 1), 2θ = 62.5°, d 1.487, intensity 10.5
(4 1 1), 2θ = 66.4°, d 1.408, intensity 9.3
(1 3 2), 2θ = 69.6°, d 1.351, intensity 16.3
(2 1 4), 2θ = 73.1°, d 1.294, intensity 11.6

Crystal structure
```
data_InAg
_cell_length_a 6.0933
_cell_length_b 4.6829
_cell_length_c 6.0058
_cell_angle_alpha 90.00
_cell_angle_beta 90.00
_cell_angle_gamma 90.00
_symmetry_space_group_name_H-M 'P n m a'
_symmetry_Int_Tables_number 62
loop_
_symmetry_equiv_pos_as_xyz
'x,y,z'
'-x,-y,-z'
'-x+1/2,-y,z+1/2'
'x+1/2,y,-z+1/2'
'x+1/2,-y+1/2,-z+1/2'
'-x+1/2,y+1/2,z+1/2'
'-x,y+1/2,-z'
'x,-y+1/2,z'
loop_
_atom_site_label
_atom_site_fract_x
_atom_site_fract_y
_atom_site_fract_z
_atom_site_occupancy
In1 0.1418 0.2500 0.1297 1
Ag1 0.0407 0.2500 0.6476 1
```

[3]
This entry pairs a crystal structure of NaInB2 with its simulated powder XRD pattern. Radiation: CuKα. Structure: a DFT-relaxed cell (PBE, Alexandria).

Peak list (12 most intense, 10° ≤ 2θ ≤ 80°, sorted by position)
(1 0 1), 2θ = 22.0°, d 4.039, intensity 73.9
(0 0 4), 2θ = 22.2°, d 3.998, intensity 48.1
(1 0 3), 2θ = 27.1°, d 3.287, intensity 24.8
(1 1 2), 2θ = 32.3°, d 2.769, intensity 100.0
(1 0 5), 2θ = 35.4°, d 2.539, intensity 12.8
(2 0 0), 2θ = 43.3°, d 2.087, intensity 21.8
(1 1 6), 2θ = 45.9°, d 1.978, intensity 36.8
(2 0 4), 2θ = 49.2°, d 1.850, intensity 29.6
(2 1 3), 2θ = 51.9°, d 1.762, intensity 13.4
(2 0 8), 2θ = 64.5°, d 1.444, intensity 17.2
(2 2 4), 2θ = 67.6°, d 1.385, intensity 16.0
(3 1 2), 2θ = 72.6°, d 1.303, intensity 17.6

Crystal structure
```
data_NaInB2
_cell_length_a 4.1747
_cell_length_b 4.1747
_cell_length_c 15.9929
_cell_angle_alpha 90.00
_cell_angle_beta 90.00
_cell_angle_gamma 90.00
_symmetry_space_group_name_H-M 'I 41/a m d'
_symmetry_Int_Tables_number 141
loop_
_symmetry_equiv_pos_as_xyz
'x,y,z'
'-x,-y,-z'
'-y+1/4,x+3/4,z+1/4'
'y+1/4,-x+3/4,-z+1/4'
'-x+1/2,-y,z+1/2'
'x+1/2,y,-z+1/2'
'y+1/4,-x+1/4,z+3/4'
'-y+1/4,x+1/4,-z+3/4'
'x,-y,-z'
'-x,y,z'
'-y+1/4,-x+1/4,-z+3/4'
'y+1/4,x+1/4,z+3/4'
'-x+1/2,y,-z+1/2'
'x+1/2,-y,z+1/2'
'y+1/4,x+3/4,-z+1/4'
'-y+1/4,-x+3/4,z+1/4'
'x+1/2,y+1/2,z+1/2'
'-x+1/2,-y+1/2,-z+1/2'
'-y+3/4,x+1/4,z+3/4'
'y+3/4,-x+1/4,-z+3/4'
'-x,-y+1/2,z'
'x,y+1/2,-z'
'y+3/4,-x+3/4,z+1/4'
'-y+3/4,x+3/4,-z+1/4'
'x+1/2,-y+1/2,-z+1/2'
'-x+1/2,y+1/2,z+1/2'
'-y+3/4,-x+3/4,-z+1/4'
'y+3/4,x+3/4,z+1/4'
'-x,y+1/2,-z'
'x,-y+1/2,z'
'y+3/4,x+1/4,-z+3/4'
'-y+3/4,-x+1/4,z+3/4'
loop_
_atom_site_label
_atom_site_fract_x
_atom_site_fract_y
_atom_site_fract_z
_atom_site_occupancy
Na1 0.0000 0.2500 0.3750 1
In1 0.0000 0.2500 0.8750 1
B1 0.0000 0.0000 0.0000 1
```